No. 1
For Te3MoWS, a DFT-relaxed cell (PBE, the Materials Project) gives the computed X-ray diffraction stick pattern in this record (λ = 1.5418 Å (Cu Kα)).
Peak positions follow from Bragg's law for the DFT cell and can differ from measured ones.

```
data_Te3MoWS
_chemical_formula_sum 'Te6 Mo2 W2 S2'
_cell_length_a 3.4555
_cell_length_b 3.4555
_cell_length_c 39.4317
_cell_angle_alpha 90.00
_cell_angle_beta 90.00
_cell_angle_gamma 120.00
_symmetry_space_group_name_H-M 'P 3 m 1'
_symmetry_Int_Tables_number 156
loop_
_symmetry_equiv_pos_as_xyz
'x,y,z'
'-y,x-y,z'
'-x+y,-x,z'
'-y,-x,z'
'-x+y,y,z'
'x,x-y,z'
loop_
_atom_site_label
_atom_site_type_symbol
_atom_site_fract_x
_atom_site_fract_y
_atom_site_fract_z
Te1 Te 0.0000 0.0000 0.0000
Te2 Te 0.0000 0.0000 0.0944
Te3 Te 0.0000 0.0000 0.3759
Te4 Te 0.0000 0.0000 0.4702
Te5 Te 0.3333 0.6667 0.1882
Te6 Te 0.3333 0.6667 0.2821
Mo1 Mo 0.0000 0.0000 0.2352
Mo2 Mo 0.0000 0.0000 0.8594
W1 W 0.3333 0.6667 0.0472
W2 W 0.3333 0.6667 0.4231
S1 S 0.3333 0.6667 0.8216
S2 S 0.3333 0.6667 0.8972
```

Top 8 peaks for 10 to 80 degrees two-theta, sorted by position:
d 7.886, intensity 96
d 2.990, intensity 53
d 2.558, intensity 100
d 2.471, intensity 20
d 2.130, intensity 58
d 2.051, intensity 19
d 1.727, intensity 41
d 1.271, intensity 18

***

No. 2
For Li2IrO3, a DFT-relaxed cell (PBE, the Materials Project) gives the computed X-ray diffraction stick pattern in this record (λ = 1.5418 Å (Cu Kα)).
Peak positions follow from Bragg's law for the DFT cell and can differ from measured ones.

```
data_Li2IrO3
_chemical_formula_sum 'Li40 Ir20 O60'
_cell_length_a 5.150
_cell_length_b 9.004
_cell_length_c 24.523
_cell_angle_alpha 90.00
_cell_angle_beta 94.07
_cell_angle_gamma 90.00
_symmetry_space_group_name_H-M 'C 1 2 1'
_symmetry_Int_Tables_number 5
loop_
_symmetry_equiv_pos_as_xyz
'x,y,z'
'-x,y,-z'
'x+1/2,y+1/2,z'
'-x+1/2,y+1/2,-z'
loop_
_atom_site_label
_atom_site_type_symbol
_atom_site_fract_x
_atom_site_fract_y
_atom_site_fract_z
Li1 Li 0.000 0.000 0.000
Li2 Li 0.000 0.166 0.500
Li3 Li 0.000 0.339 0.000
Li4 Li 0.000 0.661 0.000
Li5 Li 0.100 0.000 0.300
Li6 Li 0.100 0.161 0.800
Li7 Li 0.100 0.500 0.800
Li8 Li 0.100 0.839 0.800
Li9 Li 0.190 0.003 0.600
Li10 Li 0.200 0.500 0.100
Li11 Li 0.201 0.332 0.600
Li12 Li 0.211 0.665 0.600
Ir1 Ir 0.000 0.499 0.500
Ir2 Ir 0.000 0.834 0.500
Ir3 Ir 0.099 0.333 0.300
Ir4 Ir 0.100 0.668 0.300
Ir5 Ir 0.200 0.167 0.100
Ir6 Ir 0.200 0.833 0.100
O1 O 0.037 0.500 0.654
O2 O 0.044 0.328 0.147
O3 O 0.044 0.672 0.147
O4 O 0.056 0.172 0.652
O5 O 0.057 0.828 0.653
O6 O 0.062 0.000 0.147
O7 O 0.137 0.667 0.454
O8 O 0.144 0.172 0.947
O9 O 0.144 0.828 0.947
O10 O 0.156 0.995 0.452
O11 O 0.157 0.339 0.453
O12 O 0.162 0.500 0.947
O13 O 0.238 0.500 0.253
O14 O 0.244 0.328 0.747
O15 O 0.244 0.672 0.747
```

Top 8 peaks for 10 to 80 degrees two-theta, sorted by position:
d 4.892, intensity 100
d 4.277, intensity 19
d 2.554, intensity 37
d 2.535, intensity 19
d 2.445, intensity 33
d 2.118, intensity 40
d 2.107, intensity 19
d 1.943, intensity 16